# PaCrH
Computed powder XRD pattern, Cu Kα. Input: a DFT-relaxed cell (PBE, Alexandria).

Structural model:
a = 3.137 Å, b = 3.479 Å, c = 7.990 Å
α = 90.00°, β = 90.00°, γ = 90.00°
Sites, in units of the cell vectors:
Pa  0.250  0.250  0.191
Pa  0.750  0.750  0.809
Cr  0.250  0.750  0.483
Cr  0.750  0.250  0.517
H  0.250  0.750  0.010
H  0.750  0.250  0.990

The 12 most intense peaks (2θ from 10° to 90°), by angle:
- 3.995 Å, 22.25°, rel. 25, (0 0 2)
- 3.189 Å, 27.98°, rel. 100, (0 1 1)
- 2.920 Å, 30.61°, rel. 89, (1 0 1)
- 2.663 Å, 33.65°, rel. 48, (0 0 3)
- 2.623 Å, 34.18°, rel. 39, (0 1 2)
- 2.467 Å, 36.41°, rel. 24, (1 0 2)
- 2.330 Å, 38.65°, rel. 30, (1 1 0)
- 2.237 Å, 40.33°, rel. 33, (1 1 1)
- 2.012 Å, 45.05°, rel. 64, (1 1 2)
- 1.685 Å, 54.46°, rel. 24, (1 0 4)
- 1.494 Å, 62.12°, rel. 25, (1 2 1)
- 1.318 Å, 71.61°, rel. 23, (1 1 5)